Starting from a DFT-relaxed cell (PBE, the Materials Project), the X-ray diffraction stick pattern of AgSbS16F6 was computed for a wavelength of 1.5418 Å.
Kinematic intensities with the Lorentz-polarization factor, no thermal factor.

Cell and atoms:
a b c (Å): 10.1121 10.1121 16.3779
angles (deg): 100.47 100.47 48.18
Element x y z (fractional)
Ag  0.1669  0.8331  0.7500
Ag  0.8331  0.1669  0.2500
Sb  0.5000  0.5000  0.0000
Sb  0.5000  0.5000  0.5000
S  0.0097  0.2852  0.4370
S  0.0413  0.6402  0.8328
S  0.0659  0.0984  0.1507
S  0.0655  0.6817  0.2865
S  0.0870  0.2758  0.9171
S  0.0984  0.0659  0.6507
S  0.1010  0.5011  0.6276
S  0.1005  0.7011  0.1711
S  0.2156  0.5236  0.7416
S  0.2758  0.0870  0.4171
S  0.2852  0.0097  0.9370
S  0.2989  0.8995  0.3289
S  0.3183  0.9345  0.2135
S  0.3598  0.9587  0.6672
S  0.4764  0.7844  0.7584
S  0.4989  0.8990  0.8724
S  0.5011  0.1010  0.1276
S  0.5236  0.2156  0.2416
S  0.6402  0.0413  0.3328
S  0.6817  0.0655  0.7865
S  0.7011  0.1005  0.6711
S  0.7148  0.9903  0.0630
S  0.7242  0.9130  0.5829
S  0.7844  0.4764  0.2584
S  0.8995  0.2989  0.8289
S  0.8990  0.4989  0.3724
S  0.9016  0.9341  0.3493
S  0.9130  0.7242  0.0829
S  0.9345  0.3183  0.7135
S  0.9341  0.9016  0.8493
S  0.9587  0.3598  0.1672
S  0.9903  0.7148  0.5630
F  0.2580  0.7059  0.0217
F  0.2941  0.7420  0.4783
F  0.3594  0.4319  0.4650
F  0.4319  0.3594  0.9650
F  0.4371  0.5494  0.6128
F  0.4506  0.5629  0.8872
F  0.5494  0.4371  0.1128
F  0.5629  0.4506  0.3872
F  0.5681  0.6406  0.0350
F  0.6406  0.5681  0.5350
F  0.7059  0.2580  0.5217
F  0.7420  0.2941  0.9783

Most intense lines, 10° ≤ 2θ ≤ 90°, in order of rising 2θ:
two_theta	Rel. int.
15.48	85
16.82	57
18.22	44
20.53	40
22.83	53
24.26	100
26.02	49
26.63	42